No. 1
Diffraction record for Pm3Sm4Th. The powder diffractogram is simulated, not measured: it uses a PBE-relaxed structure and copper Kα.
Kinematic intensities with the Lorentz-polarization factor, no thermal factor.

Crystal structure
```
16
Lattice="10.3098 0.0000 0.0000 0.0000 7.2504 0.0000 0.0000 0.0000 7.2421" Properties=species:S:1:pos:R:3 pbc="T T T"
Pm 0.0000 0.0000 0.0000
Pm 2.5775 1.8491 1.8105
Pm 2.5775 5.4013 5.4316
Pm 5.1549 0.0000 3.6211
Pm 7.7324 1.8491 1.8105
Pm 7.7324 5.4013 5.4316
Sm 0.0000 0.0000 3.6211
Sm 0.0000 3.6252 3.6211
Sm 2.5775 1.8530 5.4316
Sm 2.5775 5.3973 1.8105
Sm 5.1549 0.0000 0.0000
Sm 5.1549 3.6252 0.0000
Sm 7.7324 1.8530 5.4316
Sm 7.7324 5.3973 1.8105
Th 0.0000 3.6252 0.0000
Th 5.1549 3.6252 3.6211
```

Peak list (6 most intense, 2θ from 5° to 70°, sorted by position)
- 30.1 deg, intensity 100
- 34.8 deg, intensity 17
- 35.0 deg, intensity 34
- 50.2 deg, intensity 24
- 59.5 deg, intensity 15
- 59.8 deg, intensity 29

No. 2
Diffraction record for HfHg3Se2Cl6. The powder diffractogram is simulated, not measured: it uses a PBE-relaxed structure and copper Kα.
Kinematic intensities with the Lorentz-polarization factor, no thermal factor.

Crystal structure
```
24
Lattice="6.9681 0.0000 0.0000 0.0000 7.7977 0.0000 -0.0114 0.0000 13.5180" Properties=species:S:1:pos:R:3 pbc="T T T"
Hf 0.0000 0.0000 0.0000
Hf -0.0057 3.8989 6.7590
Hg 3.4767 1.9427 3.3755
Hg 3.4710 1.9562 10.1345
Hg 3.4784 0.0000 6.7590
Hg 3.4840 3.8989 0.0000
Hg 3.4857 5.8416 3.3836
Hg 3.4800 5.8550 10.1426
Se 2.2579 3.9063 11.2650
Se 2.2636 7.7903 4.5060
Se 4.6931 0.0074 9.0121
Se 4.6988 3.8914 2.2530
Cl 1.3896 1.7630 1.0150
Cl 1.3840 2.1359 7.7740
Cl 1.3934 0.0075 11.4946
Cl 1.3991 3.8914 4.7355
Cl 1.4046 5.6448 7.7731
Cl 1.4103 6.0518 1.0141
Cl 5.5464 1.7459 12.5040
Cl 5.5521 2.1529 5.7450
Cl 5.5576 3.9063 8.7825
Cl 5.5633 7.7902 2.0235
Cl 5.5728 5.6618 5.7441
Cl 5.5671 6.0347 12.5031
```

Peak list (6 most intense, 2θ from 5° to 70°, sorted by position)
- 12.7 deg, intensity 34
- 18.3 deg, intensity 100
- 26.4 deg, intensity 37
- 29.4 deg, intensity 44
- 37.1 deg, intensity 74
- 46.6 deg, intensity 29

No. 3
Diffraction record for Ho6HPt2. The powder diffractogram is simulated, not measured: it uses a PBE-relaxed structure and copper Kα.
Kinematic intensities with the Lorentz-polarization factor, no thermal factor.

Crystal structure
```
18
Lattice="6.3999 0.0000 0.0000 0.0000 7.0006 0.0000 -6.3073 0.0000 9.6235" Properties=species:S:1:pos:R:3 pbc="T T T"
Ho -0.8624 0.1824 2.4153
Ho -4.0161 3.3179 7.2271
Ho 1.1253 4.7359 0.5984
Ho -2.0283 5.7651 5.4101
Ho 2.0916 1.2580 0.5786
Ho -1.0621 2.2423 5.3903
Ho 1.1547 4.7583 4.2332
Ho -1.9990 5.7427 9.0449
Ho 2.1210 1.2356 4.2134
Ho -1.0327 2.2648 9.0251
Ho 4.1087 3.6828 2.3964
Ho 0.9551 6.8182 7.2082
H 0.0000 0.0000 0.0000
H -3.1537 3.5003 4.8118
Pt -2.7512 0.8086 7.2329
Pt 0.4025 2.6917 2.4212
Pt -0.3098 4.3089 7.2023
Pt 2.8438 6.1920 2.3906
```

Peak list (6 most intense, 2θ from 5° to 70°, sorted by position)
- 30.6 deg, intensity 66
- 31.6 deg, intensity 100
- 32.1 deg, intensity 86
- 32.2 deg, intensity 80
- 34.6 deg, intensity 59
- 38.1 deg, intensity 89

No. 4
Diffraction record for MnGaB. The powder diffractogram is simulated, not measured: it uses a PBE-relaxed structure and copper Kα.
Kinematic intensities with the Lorentz-polarization factor, no thermal factor.

Crystal structure
```
6
Lattice="1.4151 -8.3008 0.0000 1.4151 8.3008 0.0000 0.0000 0.0000 2.8234" Properties=species:S:1:pos:R:3 pbc="T T T"
Mn 1.4151 5.3003 0.0000
Mn 1.4151 -5.3003 0.0000
Ga 1.4151 1.2477 1.4117
Ga 1.4151 -1.2477 1.4117
B 1.4151 3.6610 1.4117
B 1.4151 -3.6610 1.4117
```

Peak list (6 most intense, 2θ from 5° to 70°, sorted by position)
- 33.5 deg, intensity 77
- 35.6 deg, intensity 47
- 41.9 deg, intensity 67
- 43.6 deg, intensity 43
- 45.7 deg, intensity 100
- 45.9 deg, intensity 89

No. 5
Diffraction record for Hf2Ga2Pb. The powder diffractogram is simulated, not measured: it uses a PBE-relaxed structure and copper Kα.
Kinematic intensities with the Lorentz-polarization factor, no thermal factor.

Crystal structure
```
10
Lattice="8.0643 0.0000 0.0000 0.0000 8.0643 0.0000 0.0000 0.0000 3.2780" Properties=species:S:1:pos:R:3 pbc="T T T"
Hf 1.0592 2.9730 0.0000
Hf 2.9730 7.0051 0.0000
Hf 5.0913 1.0592 0.0000
Hf 7.0051 5.0913 0.0000
Ga 1.3662 5.3984 1.6390
Ga 2.6659 1.3662 1.6390
Ga 5.3984 6.6981 1.6390
Ga 6.6981 2.6659 1.6390
Pb 0.0000 0.0000 0.0000
Pb 4.0321 4.0321 0.0000
```

Peak list (6 most intense, 2θ from 5° to 70°, sorted by position)
- 27.2 deg, intensity 29
- 35.2 deg, intensity 100
- 37.1 deg, intensity 83
- 45.0 deg, intensity 41
- 65.5 deg, intensity 27
- 68.0 deg, intensity 23

No. 6
Diffraction record for LaSbSeO2. The powder diffractogram is simulated, not measured: it uses a PBE-relaxed structure and copper Kα.
Kinematic intensities with the Lorentz-polarization factor, no thermal factor.

Crystal structure
```
10
Lattice="2.7950 -6.0606 0.0000 2.7950 6.0606 0.0000 0.0000 0.0000 5.5155" Properties=species:S:1:pos:R:3 pbc="T T T"
La 2.7950 4.5596 4.1366
La 2.7950 -4.5596 1.3789
Sb 2.7950 1.0153 4.1366
Sb 2.7950 -1.0153 1.3789
Se 2.7950 3.0778 1.3789
Se 2.7950 -3.0778 4.1366
O 1.4844 0.0000 0.0000
O 1.4844 0.0000 2.7577
O 4.1057 0.0000 0.0000
O 4.1057 0.0000 2.7577
```

Peak list (6 most intense, 2θ from 5° to 70°, sorted by position)
- 31.8 deg, intensity 100
- 32.0 deg, intensity 25
- 32.5 deg, intensity 24
- 46.2 deg, intensity 26
- 56.9 deg, intensity 19
- 57.5 deg, intensity 18